[1]
The following is a theoretical PXRD pattern of Ni6GeH4. It was derived from a crystal structure in Alexandria, relaxed with PBE, using copper Kα.
Kinematic intensities with the Lorentz-polarization factor, no thermal factor.

Top 6 peaks for 2θ = 15–90°, in order of rising 2θ:
2θ (°), intensity, h k l
41.43, 16, 0 4 2
42.95, 100, 0 2 6
43.91, 22, 0 4 3
45.01, 34, 1 3 1
46.42, 35, 1 3 2
84.66, 15, 2 2 6

Crystal structure
Lattice parameters (Å, degrees): 2.728 9.160 14.217 90.00 90.00 90.00
Space group Cmcm (No. 63)
Unique sites:
Ni1 0.000 0.000 0.000 (multiplicity 4)
Ni2 0.000 0.112 0.250 (multiplicity 4)
Ni3 0.000 0.278 0.583 (multiplicity 8)
Ni4 0.000 0.451 0.143 (multiplicity 8)
Ge1 0.000 0.179 0.750 (multiplicity 4)
H1 0.000 0.089 0.112 (multiplicity 8)
H2 0.000 0.350 0.040 (multiplicity 8)

***

[2]
The following is a theoretical PXRD pattern of Na2CePbBr8. It was derived from a crystal structure in Alexandria, relaxed with PBE, using copper Kα.
Kinematic intensities with the Lorentz-polarization factor, no thermal factor.

Top 6 peaks for 2θ = 15–90°, in order of rising 2θ:
2θ (°), intensity, h k l
17.44, 41, 1 0 -1
18.56, 30, 1 0 1
26.52, 100, 1 2 -1
28.98, 43, 1 0 2
34.81, 40, 2 2 -1
43.11, 41, 0 2 3

Crystal structure
Lattice parameters (Å, degrees): 6.831 8.958 7.139 90.00 93.53 90.00
Space group P2/m (No. 10)
Unique sites:
Na1 0.000 0.241 0.000 (multiplicity 2)
Ce1 0.500 0.500 0.500 (multiplicity 1)
Pb1 0.500 0.000 0.500 (multiplicity 1)
Br1 0.230 0.000 0.163 (multiplicity 2)
Br2 0.240 0.500 0.181 (multiplicity 2)
Br3 0.278 0.271 0.657 (multiplicity 4)

***

[3]
The following is a theoretical PXRD pattern of K3Co. It was derived from a crystal structure in Alexandria, relaxed with PBE, using copper Kα.
Kinematic intensities with the Lorentz-polarization factor, no thermal factor.

Top 6 peaks for 2θ = 15–90°, in order of rising 2θ:
2θ (°), intensity, h k l
24.52, 17, 0 2 1
26.77, 100, 1 0 2
28.98, 21, 1 2 1
30.69, 24, 2 0 0
31.17, 26, 0 2 2
44.31, 18, 2 2 2

Crystal structure
Lattice parameters (Å, degrees): 5.826 8.112 8.120 90.00 90.06 90.00
Space group P2_1/c (No. 14)
Unique sites:
K1 0.000 0.000 0.000 (multiplicity 2)
K2 0.499 0.181 0.319 (multiplicity 4)
Co1 0.000 0.000 0.500 (multiplicity 2)